No. 1
Simulated powder diffractogram of PmGaNO for Cu Kα (weighted mean of Kα1 and Kα2), from a crystal structure in OQMD, relaxed with GGA-PBE.
Intensities are scaled so that the largest is 100.

Most intense lines, 10° ≤ 2θ ≤ 90°, by angle:
| hkl | 2theta | intensity |
| --- | --- | --- |
| 1 1 1 | 25.65 | 25 |
| 1 2 0 | 27.61 | 20 |
| 2 0 0 | 30.57 | 28 |
| 1 2 1 | 32.64 | 100 |
| 0 0 2 | 34.51 | 36 |
| 2 0 1 | 35.21 | 20 |

Atomic structure:
Cell lengths 5.848, 7.753, 5.198 Å; angles 90.00, 90.00, 90.00 degrees
Space group Pca2_1 (No. 29)
Symmetry-distinct sites (fractional):
1 Pm 0.048 0.136 0.000 (multiplicity 4)
2 Ga 0.086 0.591 0.950 (multiplicity 4)
3 N 0.109 0.586 0.583 (multiplicity 4)
4 O 0.056 0.176 0.508 (multiplicity 4)



No. 2
Simulated powder diffractogram of ErH3 for Cu Kα (weighted mean of Kα1 and Kα2), from a crystal structure in OQMD, relaxed with GGA-PBE.
Intensities are scaled so that the largest is 100.

Most intense lines, 10° ≤ 2θ ≤ 90°, by angle:
| hkl | 2theta | intensity |
| --- | --- | --- |
| 0 2 0 | 27.80 | 33 |
| 1 0 1 | 28.75 | 15 |
| 2 1 0 | 32.05 | 100 |
| 1 2 1 | 40.44 | 17 |
| 2 3 0 | 51.92 | 27 |
| 3 2 1 | 59.13 | 16 |

Atomic structure:
Cell lengths 6.190, 6.417, 3.590 Å; angles 90.00, 90.00, 90.00 degrees
Space group Pnma (No. 62)
Symmetry-distinct sites (fractional):
1 Er 0.166 0.250 0.000 (multiplicity 4)
2 H 0.001 0.250 0.499 (multiplicity 4)
3 H 0.167 0.594 0.002 (multiplicity 8)



No. 3
Simulated powder diffractogram of Ba2ScTcS6 for Cu Kα (weighted mean of Kα1 and Kα2), from a crystal structure in OQMD, relaxed with GGA-PBE.
Intensities are scaled so that the largest is 100.

Most intense lines, 10° ≤ 2θ ≤ 90°, by angle:
| hkl | 2theta | intensity |
| --- | --- | --- |
| 2 1 1 | 25.77 | 100 |
| 2 2 2 | 31.70 | 34 |
| 2 2 0 | 36.77 | 61 |
| 3 3 2 | 45.44 | 43 |
| 4 2 2 | 52.98 | 40 |
| 3 4 5 | 72.32 | 22 |

Atomic structure:
Cell lengths 6.913, 6.913, 6.914 Å; angles 60.01, 60.01, 60.00 degrees
Space group P-1 (No. 2)
Symmetry-distinct sites (fractional):
1 Ba 0.250 0.250 0.250 (multiplicity 2)
2 Sc 0.000 0.000 0.000 (multiplicity 1)
3 Tc 0.500 0.500 0.500 (multiplicity 1)
4 S 0.256 0.257 0.743 (multiplicity 2)
5 S 0.256 0.744 0.743 (multiplicity 2)
6 S 0.257 0.743 0.256 (multiplicity 2)